No. 1
This entry pairs a crystal structure of Tb2GeSe4 with its calculated powder X-ray diffraction pattern. Radiation: Cu Kα X-rays. Structure: a PBE-relaxed structure.
Kinematic intensities with the Lorentz-polarization factor, no thermal factor.

Atomic structure:
Lattice parameters (Å, degrees): 7.6320 7.6320 7.6320 130.73 130.73 72.24
Positions (direct):
Tb 0.2500 0.7500 0.5000
Tb 0.7500 0.2500 0.5000
Ge 0.0000 0.0000 0.0000
Se 0.1317 0.6267 0.0000
Se 0.3733 0.3733 0.5049
Se 0.6267 0.1317 0.0000
Se 0.8683 0.8683 0.4951

Largest 12 diffraction maxima, sorted by position, 10° ≤ 2θ ≤ 80°:
14.37°, rel. 16; 19.73°, rel. 19; 24.49°, rel. 100; 31.65°, rel. 13; 40.08°, rel. 27; 40.76°, rel. 51; 47.54°, rel. 33; 48.72°, rel. 15; 57.98°, rel. 9; 64.86°, rel. 13; 73.28°, rel. 18; 78.14°, rel. 10

---

No. 2
This entry pairs a crystal structure of Sr2CdGeBi with its calculated powder X-ray diffraction pattern. Radiation: Cu Kα X-rays. Structure: a PBE-relaxed structure.
Kinematic intensities with the Lorentz-polarization factor, no thermal factor.

Atomic structure:
Lattice parameters (Å, degrees): 6.2566 6.2566 4.8117 90.00 90.00 90.00
Positions (direct):
Sr 0.0000 0.5000 0.0000
Sr 0.5000 0.0000 0.0000
Cd 0.0000 0.0000 0.0000
Ge 0.0000 0.0000 0.5000
Bi 0.5000 0.5000 0.5000

Largest 12 diffraction maxima, sorted by position, 10° ≤ 2θ ≤ 80°:
20.07°, rel. 34; 23.32°, rel. 60; 27.39°, rel. 79; 28.53°, rel. 100; 37.17°, rel. 37; 37.38°, rel. 24; 40.79°, rel. 38; 47.69°, rel. 49; 49.83°, rel. 31; 56.51°, rel. 29; 66.88°, rel. 18; 79.20°, rel. 22

---

No. 3
This entry pairs a crystal structure of Pm3YBi3 with its calculated powder X-ray diffraction pattern. Radiation: Cu Kα X-rays. Structure: a PBE-relaxed structure.
Kinematic intensities with the Lorentz-polarization factor, no thermal factor.

Atomic structure:
Lattice parameters (Å, degrees): 9.5777 9.5777 9.5777 90.00 90.00 90.00
Positions (direct):
Pm 0.0687 0.4313 0.5687
Pm 0.1766 0.8234 0.3234
Pm 0.1781 0.1781 0.1781
Pm 0.3219 0.8219 0.6781
Pm 0.3234 0.1766 0.8234
Pm 0.4313 0.5687 0.0687
Pm 0.5687 0.0687 0.4313
Pm 0.6766 0.6766 0.6766
Pm 0.6781 0.3219 0.8219
Pm 0.8219 0.6781 0.3219
Pm 0.8234 0.3234 0.1766
Pm 0.9313 0.9313 0.9313
Y 0.0733 0.5733 0.9267
Y 0.4267 0.4267 0.4267
Y 0.5733 0.9267 0.0733
Y 0.9267 0.0733 0.5733
Bi 0.0014 0.2544 0.8727
Bi 0.1273 0.5014 0.2456
Bi 0.2456 0.1273 0.5014
Bi 0.2544 0.8727 0.0014
Bi 0.3727 0.4986 0.7456
Bi 0.4986 0.7456 0.3727
Bi 0.5014 0.2456 0.1273
Bi 0.6273 0.9986 0.7544
Bi 0.7456 0.3727 0.4986
Bi 0.7544 0.6273 0.9986
Bi 0.8727 0.0014 0.2544
Bi 0.9986 0.7544 0.6273

Largest 12 diffraction maxima, sorted by position, 10° ≤ 2θ ≤ 80°:
22.74°, rel. 17; 29.49°, rel. 100; 35.06°, rel. 64; 42.20°, rel. 22; 44.36°, rel. 15; 46.45°, rel. 12; 48.46°, rel. 20; 59.50°, rel. 31; 61.20°, rel. 11; 62.89°, rel. 15; 67.79°, rel. 7; 72.53°, rel. 21

---

No. 4
This entry pairs a crystal structure of TaMoS4 with its calculated powder X-ray diffraction pattern. Radiation: Cu Kα X-rays. Structure: a PBE-relaxed structure.
Kinematic intensities with the Lorentz-polarization factor, no thermal factor.

Atomic structure:
Lattice parameters (Å, degrees): 6.8925 6.8925 5.6847 98.01 98.01 27.54
Positions (direct):
Ta 0.0000 0.0000 0.0000
Mo 0.5000 0.5000 0.5021
S 0.1164 0.1164 0.3784
S 0.3823 0.3823 0.7917
S 0.6176 0.6176 0.8712
S 0.8835 0.8835 0.2997

Largest 12 diffraction maxima, sorted by position, 10° ≤ 2θ ≤ 80°:
13.36°, rel. 100; 31.81°, rel. 26; 32.78°, rel. 25; 36.42°, rel. 29; 38.96°, rel. 29; 45.14°, rel. 22; 48.68°, rel. 15; 55.48°, rel. 5; 56.05°, rel. 15; 56.50°, rel. 6; 57.90°, rel. 13; 70.36°, rel. 5

---

No. 5
This entry pairs a crystal structure of TbSmErSc with its calculated powder X-ray diffraction pattern. Radiation: Cu Kα X-rays. Structure: a PBE-relaxed structure.
Kinematic intensities with the Lorentz-polarization factor, no thermal factor.

Atomic structure:
Lattice parameters (Å, degrees): 6.6685 6.6685 6.6685 147.23 130.19 60.91
Positions (direct):
Tb 0.0000 0.0000 0.0000
Sm 0.7282 0.2282 0.5000
Er 0.4614 0.4614 0.0000
Sc 0.2321 0.7321 0.5000

Largest 12 diffraction maxima, sorted by position, 10° ≤ 2θ ≤ 80°:
28.19°, rel. 14; 31.12°, rel. 25; 31.87°, rel. 28; 32.61°, rel. 100; 45.14°, rel. 18; 48.39°, rel. 9; 56.32°, rel. 15; 57.26°, rel. 27; 58.62°, rel. 13; 59.11°, rel. 9; 68.32°, rel. 10; 75.34°, rel. 10

---

No. 6
This entry pairs a crystal structure of LaPb2 with its calculated powder X-ray diffraction pattern. Radiation: Cu Kα X-rays. Structure: a PBE-relaxed structure.
Kinematic intensities with the Lorentz-polarization factor, no thermal factor.

Atomic structure:
Lattice parameters (Å, degrees): 3.6068 3.6068 8.4935 90.00 90.00 120.00
Positions (direct):
La 0.0000 0.0000 0.0000
Pb 0.3333 0.6667 0.6592
Pb 0.6667 0.3333 0.3408

Largest 12 diffraction maxima, sorted by position, 10° ≤ 2θ ≤ 80°:
10.42°, rel. 8; 30.49°, rel. 100; 31.60°, rel. 30; 35.68°, rel. 68; 50.62°, rel. 25; 52.08°, rel. 22; 60.25°, rel. 15; 60.91°, rel. 28; 62.21°, rel. 14; 63.46°, rel. 13; 65.99°, rel. 4; 75.58°, rel. 8

---

No. 7
This entry pairs a crystal structure of YP3O9 with its calculated powder X-ray diffraction pattern. Radiation: Cu Kα X-rays. Structure: a PBE-relaxed structure.
Kinematic intensities with the Lorentz-polarization factor, no thermal factor.

Atomic structure:
Lattice parameters (Å, degrees): 7.1027 9.8047 11.1741 90.00 92.23 90.00
Positions (direct):
Y 0.1804 0.2500 0.4616
Y 0.3088 0.2500 0.9794
Y 0.6912 0.7500 0.0206
Y 0.8196 0.7500 0.5384
P 0.1815 0.7500 0.1041
P 0.2695 0.0108 0.2307
P 0.2695 0.4892 0.2307
P 0.3088 0.7500 0.6256
P 0.3246 0.0332 0.7158
P 0.3246 0.4668 0.7158
P 0.6754 0.5332 0.2842
P 0.6754 0.9668 0.2842
P 0.6912 0.2500 0.3744
P 0.7305 0.5108 0.7693
P 0.7305 0.9892 0.7693
P 0.8185 0.2500 0.8959
O 0.0128 0.7500 0.0192
O 0.1390 0.7500 0.5411
O 0.1554 0.0864 0.3190
O 0.1554 0.4136 0.3190
O 0.1558 0.6252 0.1965
O 0.1558 0.8748 0.1965
O 0.2299 0.0920 0.6051
O 0.2299 0.4080 0.6051
O 0.2769 0.0893 0.8354
O 0.2769 0.4107 0.8354
O 0.2916 0.6281 0.7219
O 0.2916 0.8719 0.7219
O 0.3266 0.0850 0.1201
O 0.3266 0.4150 0.1201
O 0.3757 0.7500 0.0559
O 0.4524 0.5490 0.3029
O 0.4524 0.9510 0.3029
O 0.4991 0.2500 0.4256
O 0.5009 0.7500 0.5744
O 0.5476 0.0490 0.6971
O 0.5476 0.4510 0.6971
O 0.6243 0.2500 0.9441
O 0.6734 0.5850 0.8799
O 0.6734 0.9150 0.8799
O 0.7084 0.1281 0.2781
O 0.7084 0.3719 0.2781
O 0.7231 0.5893 0.1646
O 0.7231 0.9107 0.1646
O 0.7701 0.5920 0.3949
O 0.7701 0.9080 0.3949
O 0.8442 0.1252 0.8035
O 0.8442 0.3748 0.8035
O 0.8446 0.5864 0.6810
O 0.8446 0.9136 0.6810
O 0.8610 0.2500 0.4589
O 0.9872 0.2500 0.9808

Largest 12 diffraction maxima, sorted by position, 10° ≤ 2θ ≤ 80°:
15.41°, rel. 26; 18.29°, rel. 41; 19.85°, rel. 13; 21.84°, rel. 23; 22.55°, rel. 10; 24.16°, rel. 100; 25.09°, rel. 39; 27.62°, rel. 12; 28.19°, rel. 14; 31.73°, rel. 13; 34.45°, rel. 11; 44.18°, rel. 12

---

No. 8
This entry pairs a crystal structure of CoCu4 with its calculated powder X-ray diffraction pattern. Radiation: Cu Kα X-rays. Structure: a PBE-relaxed structure.
Kinematic intensities with the Lorentz-polarization factor, no thermal factor.

Atomic structure:
Lattice parameters (Å, degrees): 6.4738 6.4738 6.4738 150.44 150.44 42.29
Positions (direct):
Co 0.0000 0.0000 0.0000
Cu 0.2500 0.7500 0.5000
Cu 0.4032 0.4032 0.0000
Cu 0.5968 0.5968 0.0000
Cu 0.7500 0.2500 0.5000

Largest 12 diffraction maxima, sorted by position, 10° ≤ 2θ ≤ 80°:
28.01°, rel. 13; 29.59°, rel. 9; 35.15°, rel. 24; 41.46°, rel. 100; 45.04°, rel. 12; 46.59°, rel. 45; 49.33°, rel. 31; 55.66°, rel. 37; 60.55°, rel. 7; 67.56°, rel. 6; 74.30°, rel. 10; 75.44°, rel. 19

---

No. 9
This entry pairs a crystal structure of Pm3Mg4Ge3 with its calculated powder X-ray diffraction pattern. Radiation: Cu Kα X-rays. Structure: a PBE-relaxed structure.
Kinematic intensities with the Lorentz-polarization factor, no thermal factor.

Atomic structure:
Lattice parameters (Å, degrees): 8.5918 8.5918 8.5918 109.47 109.47 109.47
Positions (direct):
Pm 0.1250 0.7500 0.8750
Pm 0.2500 0.6250 0.3750
Pm 0.3750 0.2500 0.6250
Pm 0.6250 0.3750 0.2500
Pm 0.7500 0.8750 0.1250
Pm 0.8750 0.1250 0.7500
Mg 0.0000 0.3332 0.5000
Mg 0.0000 0.8332 0.5000
Mg 0.1668 0.1668 0.1668
Mg 0.3332 0.5000 0.0000
Mg 0.5000 0.0000 0.3332
Mg 0.5000 0.0000 0.8332
Mg 0.6668 0.6668 0.6668
Mg 0.8332 0.5000 0.0000
Ge 0.1250 0.8750 0.2500
Ge 0.2500 0.1250 0.8750
Ge 0.3750 0.6250 0.7500
Ge 0.6250 0.7500 0.3750
Ge 0.7500 0.3750 0.6250
Ge 0.8750 0.2500 0.1250

Largest 12 diffraction maxima, sorted by position, 10° ≤ 2θ ≤ 80°:
21.95°, rel. 86; 25.39°, rel. 29; 28.45°, rel. 24; 33.81°, rel. 100; 40.67°, rel. 86; 42.75°, rel. 23; 44.75°, rel. 16; 50.38°, rel. 23; 57.24°, rel. 27; 65.14°, rel. 17; 68.16°, rel. 19; 69.64°, rel. 22

---

No. 10
This entry pairs a crystal structure of Li6UN4 with its calculated powder X-ray diffraction pattern. Radiation: Cu Kα X-rays. Structure: a PBE-relaxed structure.
Kinematic intensities with the Lorentz-polarization factor, no thermal factor.

Atomic structure:
Lattice parameters (Å, degrees): 7.2156 7.2156 4.7968 90.00 90.00 90.00
Positions (direct):
Li 0.0359 0.5359 0.2500
Li 0.0359 0.9641 0.2500
Li 0.2500 0.2500 0.1845
Li 0.2500 0.2500 0.6845
Li 0.4641 0.5359 0.2500
Li 0.4641 0.9641 0.2500
Li 0.5359 0.0359 0.7500
Li 0.5359 0.4641 0.7500
Li 0.7500 0.7500 0.3155
Li 0.7500 0.7500 0.8155
Li 0.9641 0.0359 0.7500
Li 0.9641 0.4641 0.7500
U 0.2500 0.7500 0.7500
U 0.7500 0.2500 0.2500
N 0.0075 0.2500 0.4413
N 0.2500 0.0075 0.9413
N 0.2500 0.4925 0.9413
N 0.4925 0.2500 0.4413
N 0.5075 0.7500 0.5587
N 0.7500 0.5075 0.0587
N 0.7500 0.9925 0.0587
N 0.9925 0.7500 0.5587

Largest 12 diffraction maxima, sorted by position, 10° ≤ 2θ ≤ 80°:
17.38°, rel. 74; 22.25°, rel. 100; 24.68°, rel. 34; 33.47°, rel. 66; 39.49°, rel. 20; 41.61°, rel. 19; 42.02°, rel. 23; 49.34°, rel. 20; 52.36°, rel. 16; 55.59°, rel. 15; 55.93°, rel. 17; 67.82°, rel. 15

---

No. 11
This entry pairs a crystal structure of PtCl6 with its calculated powder X-ray diffraction pattern. Radiation: Cu Kα X-rays. Structure: a PBE-relaxed structure.
Kinematic intensities with the Lorentz-polarization factor, no thermal factor.

Atomic structure:
Lattice parameters (Å, degrees): 8.5581 10.4158 8.1896 90.00 90.00 90.00
Positions (direct):
Pt 0.1502 0.2500 0.0364
Pt 0.3498 0.7500 0.5364
Pt 0.6502 0.2500 0.4636
Pt 0.8498 0.7500 0.9636
Cl 0.0537 0.5907 0.9337
Cl 0.0537 0.9093 0.9337
Cl 0.1020 0.2500 0.7595
Cl 0.1634 0.5941 0.5046
Cl 0.1634 0.9059 0.5046
Cl 0.1963 0.2500 0.3218
Cl 0.3037 0.7500 0.8218
Cl 0.3366 0.0941 0.0046
Cl 0.3366 0.4059 0.0046
Cl 0.3980 0.7500 0.2595
Cl 0.4463 0.0907 0.4337
Cl 0.4463 0.4093 0.4337
Cl 0.5537 0.5907 0.5663
Cl 0.5537 0.9093 0.5663
Cl 0.6020 0.2500 0.7405
Cl 0.6634 0.5941 0.9954
Cl 0.6634 0.9059 0.9954
Cl 0.6963 0.2500 0.1782
Cl 0.8037 0.7500 0.6782
Cl 0.8366 0.0941 0.4954
Cl 0.8366 0.4059 0.4954
Cl 0.8980 0.7500 0.2405
Cl 0.9463 0.0907 0.0663
Cl 0.9463 0.4093 0.0663

Largest 12 diffraction maxima, sorted by position, 10° ≤ 2θ ≤ 80°:
14.97°, rel. 47; 17.03°, rel. 43; 17.24°, rel. 100; 21.70°, rel. 32; 22.46°, rel. 33; 22.75°, rel. 18; 33.23°, rel. 48; 35.58°, rel. 21; 37.59°, rel. 24; 40.04°, rel. 20; 48.62°, rel. 21; 55.54°, rel. 14

---

No. 12
This entry pairs a crystal structure of BeGa2Co5Si2 with its calculated powder X-ray diffraction pattern. Radiation: Cu Kα X-rays. Structure: a PBE-relaxed structure.
Kinematic intensities with the Lorentz-polarization factor, no thermal factor.

Atomic structure:
Lattice parameters (Å, degrees): 8.6493 8.6493 3.1132 90.00 90.00 90.00
Positions (direct):
Be 0.0000 0.0000 0.0000
Be 0.5000 0.5000 0.0000
Ga 0.1683 0.3317 0.0000
Ga 0.3317 0.8317 0.0000
Ga 0.6683 0.1683 0.0000
Ga 0.8317 0.6683 0.0000
Co 0.0000 0.5000 0.5000
Co 0.0814 0.8102 0.5000
Co 0.1898 0.0814 0.5000
Co 0.3102 0.5814 0.5000
Co 0.4186 0.3102 0.5000
Co 0.5000 0.0000 0.5000
Co 0.5814 0.6898 0.5000
Co 0.6898 0.4186 0.5000
Co 0.8102 0.9186 0.5000
Co 0.9186 0.1898 0.5000
Si 0.1334 0.6334 0.0000
Si 0.3666 0.1334 0.0000
Si 0.6334 0.8666 0.0000
Si 0.8666 0.3666 0.0000

Largest 12 diffraction maxima, sorted by position, 10° ≤ 2θ ≤ 80°:
35.53°, rel. 17; 37.07°, rel. 36; 37.49°, rel. 10; 43.12°, rel. 54; 44.07°, rel. 100; 44.44°, rel. 21; 46.98°, rel. 14; 47.87°, rel. 30; 59.37°, rel. 18; 76.01°, rel. 17; 76.15°, rel. 18; 78.14°, rel. 11